1.
Simulated PXRD pattern
Compound: CeLuO3
Radiation: Cu Kα (λ = 1.5418 Å)
Structure: a crystal structure in the Materials Project, relaxed with GGA-PBE
Kinematic intensities with the Lorentz-polarization factor, no thermal factor.

Most intense lines, 2θ = 10–90°, in order of falling intensity:
two_theta  I (rel.)
30.36  100
31.00  23
54.74  23
29.83  23
43.56  20
53.28  15
63.15  13
43.38  12
54.26  11
53.53  11

Crystal structure
abc: 5.990 8.345 5.770
angles: 90.00 90.00 90.00
Element x y z (fractional)
Ce1 0.055 0.250 0.013
Ce2 0.445 0.750 0.513
Ce3 0.555 0.250 0.487
Ce4 0.945 0.750 0.987
Lu1 0.000 0.000 0.500
Lu2 0.000 0.500 0.500
Lu3 0.500 0.000 0.000
Lu4 0.500 0.500 0.000
O1 0.052 0.750 0.375
O2 0.189 0.565 0.813
O3 0.189 0.935 0.813
O4 0.311 0.065 0.313
O5 0.311 0.435 0.313
O6 0.448 0.250 0.875
O7 0.552 0.750 0.125
O8 0.689 0.565 0.687
O9 0.689 0.935 0.687
O10 0.811 0.065 0.187
O11 0.811 0.435 0.187
O12 0.948 0.250 0.625



2.
Simulated PXRD pattern
Compound: CeLuS3
Radiation: Cu Kα (λ = 1.5418 Å)
Structure: a crystal structure in the Materials Project, relaxed with GGA-PBE
Kinematic intensities with the Lorentz-polarization factor, no thermal factor.

Most intense lines, 2θ = 10–90°, in order of falling intensity:
two_theta  I (rel.)
22.66  100
32.95  41
46.26  39
36.84  28
36.59  28
26.24  25
69.12  23
54.00  20
43.65  18
56.67  18

Crystal structure
abc: 6.685 6.685 9.919
angles: 90.00 90.00 147.26
Element x y z (fractional)
Ce1 0.000 0.000 0.000
Ce2 0.000 0.000 0.500
Lu1 0.244 0.756 0.750
Lu2 0.756 0.244 0.250
S1 0.106 0.894 0.250
S2 0.352 0.648 0.084
S3 0.352 0.648 0.416
S4 0.648 0.352 0.584
S5 0.648 0.352 0.916
S6 0.894 0.106 0.750



3.
Simulated PXRD pattern
Compound: CeLuS3
Radiation: Cu Kα (λ = 1.5418 Å)
Structure: a crystal structure in the Materials Project, relaxed with GGA-PBE
Kinematic intensities with the Lorentz-polarization factor, no thermal factor.

Most intense lines, 2θ = 10–90°, in order of falling intensity:
two_theta  I (rel.)
23.49  100
32.90  35
36.87  34
31.48  32
24.10  28
47.39  25
53.24  22
37.44  21
37.94  21
28.37  20

Crystal structure
abc: 6.582 6.582 9.486
angles: 90.00 90.00 145.88
Element x y z (fractional)
Ce1 0.248 0.752 0.750
Ce2 0.752 0.248 0.250
Lu1 0.500 0.500 0.000
Lu2 0.500 0.500 0.500
S1 0.142 0.858 0.064
S2 0.142 0.858 0.436
S3 0.412 0.588 0.250
S4 0.588 0.412 0.750
S5 0.858 0.142 0.564
S6 0.858 0.142 0.936